Record 1
Computed powder diffractogram of Cs4Hg7Rh for Cu Kα, from a crystal structure in Alexandria, relaxed with GGA-PBE.
Neutral-atom scattering factors, no anomalous dispersion.

Structure:
Cell lengths 8.5313, 8.5313, 12.7719 Å; angles 112.21, 112.21, 36.46 degrees
Fractional positions:
Cs 0.0551 0.0551 0.2552
Cs 0.2131 0.2131 0.7359
Cs 0.7869 0.7869 0.2641
Cs 0.9449 0.9449 0.7448
Hg 0.0000 0.0000 0.5000
Hg 0.1607 0.1607 0.0341
Hg 0.3330 0.3330 0.5038
Hg 0.3714 0.3714 0.0929
Hg 0.6286 0.6286 0.9071
Hg 0.6670 0.6670 0.4962
Hg 0.8393 0.8393 0.9659
Rh 0.5000 0.5000 0.5000

Main lines, sorted by position (10 to 90 degrees two-theta):
Position (°2θ), d_spacing, I_rel
15.1, 5.861, 77
24.8, 3.585, 78
27.0, 3.306, 72
27.8, 3.214, 99
27.9, 3.195, 42
28.3, 3.158, 69
30.5, 2.930, 42
33.2, 2.697, 100
33.6, 2.669, 87
47.9, 1.898, 43

Record 2
Computed powder diffractogram of CsHg5S6 for Cu Kα, from a crystal structure in Alexandria, relaxed with GGA-PBE.
Neutral-atom scattering factors, no anomalous dispersion.

Structure:
Cell lengths 7.2168, 7.2434, 7.8703 Å; angles 75.39, 63.29, 75.31 degrees
Fractional positions:
Cs 0.0000 0.0000 0.0000
Hg 0.0000 0.5000 0.5000
Hg 0.3257 0.4652 0.7947
Hg 0.3413 0.9715 0.3421
Hg 0.6587 0.0285 0.6579
Hg 0.6743 0.5348 0.2053
S 0.0259 0.6467 0.7423
S 0.3082 0.2127 0.5135
S 0.3808 0.7381 0.1552
S 0.6192 0.2619 0.8448
S 0.6918 0.7873 0.4865
S 0.9741 0.3533 0.2577

Main lines, sorted by position (10 to 90 degrees two-theta):
Position (°2θ), d_spacing, I_rel
23.6, 3.768, 62
25.5, 3.496, 53
25.8, 3.459, 51
25.9, 3.443, 100
26.1, 3.415, 47
30.0, 2.980, 40
31.6, 2.833, 53
39.0, 2.308, 23
39.9, 2.262, 25
42.6, 2.120, 25

Record 3
Computed powder diffractogram of CsHgS14 for Cu Kα, from a crystal structure in Alexandria, relaxed with GGA-PBE.
Neutral-atom scattering factors, no anomalous dispersion.

Structure:
Cell lengths 13.8396, 13.8396, 13.8396 Å; angles 154.48, 75.42, 110.44 degrees
Fractional positions:
Cs 0.3247 0.0747 0.2500
Cs 0.6753 0.9253 0.7500
Hg 0.0000 0.0000 0.5000
Hg 0.0000 0.5000 0.0000
S 0.0410 0.1102 0.9308
S 0.0630 0.4040 0.6589
S 0.0700 0.2127 0.3584
S 0.0700 0.7116 0.8573
S 0.2442 0.4431 0.3080
S 0.2442 0.9362 0.8012
S 0.2451 0.4040 0.8411
S 0.3206 0.8898 0.4308
S 0.3542 0.2127 0.6427
S 0.3542 0.7116 0.1416
S 0.3650 0.0638 0.8080
S 0.3650 0.5569 0.3012
S 0.4182 0.7128 0.7054
S 0.4927 0.2872 0.2054
S 0.5073 0.7128 0.7946
S 0.5818 0.2872 0.2946
S 0.6350 0.4431 0.6988
S 0.6350 0.9362 0.1920
S 0.6458 0.2884 0.8584
S 0.6458 0.7873 0.3573
S 0.6794 0.1102 0.5692
S 0.7549 0.5960 0.1589
S 0.7558 0.0638 0.1988
S 0.7558 0.5569 0.6920
S 0.9300 0.2884 0.1427
S 0.9300 0.7873 0.6416
S 0.9370 0.5960 0.3411
S 0.9590 0.8898 0.0692

Main lines, sorted by position (10 to 90 degrees two-theta):
Position (°2θ), d_spacing, I_rel
19.7, 4.499, 43
20.8, 4.269, 100
24.4, 3.650, 30
26.5, 3.366, 20
29.1, 3.072, 28
30.1, 2.973, 20
32.3, 2.775, 50
35.5, 2.528, 27
41.3, 2.186, 27
52.7, 1.736, 20